Structure and simulated X-ray powder pattern of Ti3SiRu4 (a cell relaxed with GGA-PBE; CuKα).

Largest 6 diffraction maxima, in order of rising 2θ, 5 to 70 degrees two-theta:
2θ/deg	Rel. int.
29.35	46
41.91	100
42.06	99
52.11	10
60.88	32
68.90	8

Lattice parameters (Å, degrees): 7.4754 7.4754 7.4754 33.40 33.40 33.40
Sites, in units of the cell vectors:
Ti1 0.0000 0.0000 0.0000
Ti2 0.2473 0.2473 0.2473
Ti3 0.7527 0.7527 0.7527
Si1 0.5000 0.5000 0.5000
Ru1 0.1252 0.1252 0.1252
Ru2 0.3757 0.3757 0.3757
Ru3 0.6243 0.6243 0.6243
Ru4 0.8748 0.8748 0.8748